Entry 1:
This entry pairs a crystal structure of AlCuAu6 with its theoretical XRD peak list. Radiation: Cu Kα (weighted mean of Kα1 and Kα2). Structure: a PBE-relaxed structure.
Intensities are scaled so that the largest is 1000.

Largest 10 diffraction maxima, by intensity, 2θ from 5° to 70°:
2θ (°)  I/Imax
38.2  1000
41.5  310
41.7  268
30.5  232
35.7  136
45.7  116
45.5  113
63.5  100
35.6  98
63.6  87

```
8
Lattice="3.971 -3.986 0.000 3.971 3.986 0.000 0.000 0.000 4.328" Properties=species:S:1:pos:R:3 pbc="T T T"
Al 0.000 0.000 0.000
Cu 3.971 0.000 0.000
Au 1.986 1.993 0.000
Au 1.546 0.000 2.164
Au 3.971 1.538 2.164
Au 1.986 -1.993 0.000
Au 3.971 -1.538 2.164
Au 6.397 0.000 2.164
```

---

Entry 2:
This entry pairs a crystal structure of PaCo4C with its theoretical XRD peak list. Radiation: Cu Kα (weighted mean of Kα1 and Kα2). Structure: a PBE-relaxed structure.
Intensities are scaled so that the largest is 1000.

Largest 10 diffraction maxima, by intensity, 2θ from 5° to 70°:
2θ (°)  I/Imax
39.8  1000
42.0  543
32.6  289
29.9  254
47.5  218
42.1  212
52.8  199
36.8  188
29.8  173
19.7  170

```
12
Lattice="6.891 0.000 0.000 0.000 3.467 0.000 0.000 0.000 5.977" Properties=species:S:1:pos:R:3 pbc="T T T"
Pa 1.723 0.000 0.558
Pa 5.168 0.000 5.419
Co 0.000 0.000 2.988
Co 0.459 1.734 4.745
Co 1.723 1.734 2.677
Co 2.987 1.734 4.745
Co 3.445 0.000 2.988
Co 3.904 1.734 1.232
Co 5.168 1.734 3.300
Co 6.432 1.734 1.232
C 1.723 0.000 3.770
C 5.168 0.000 2.206
```

---

Entry 3:
This entry pairs a crystal structure of Pm2TlGa3Pt4 with its theoretical XRD peak list. Radiation: Cu Kα (weighted mean of Kα1 and Kα2). Structure: a PBE-relaxed structure.
Intensities are scaled so that the largest is 1000.

Largest 10 diffraction maxima, by intensity, 2θ from 5° to 70°:
2θ (°)  I/Imax
34.2  1000
43.6  658
31.5  218
44.5  213
63.4  146
64.0  144
22.8  135
26.3  102
37.6  98
30.6  88

```
10
Lattice="4.151 0.000 0.000 0.000 4.151 0.000 0.000 0.000 11.697" Properties=species:S:1:pos:R:3 pbc="T T T"
Pm 0.000 2.075 2.812
Pm 2.075 0.000 8.885
Tl 0.000 0.000 5.849
Ga 0.000 2.075 10.225
Ga 2.075 0.000 1.472
Ga 2.075 2.075 5.849
Pt 0.000 0.000 0.000
Pt 0.000 2.075 7.760
Pt 2.075 0.000 3.937
Pt 2.075 2.075 0.000
```

---

Entry 4:
This entry pairs a crystal structure of GdPuCo2 with its theoretical XRD peak list. Radiation: Cu Kα (weighted mean of Kα1 and Kα2). Structure: a PBE-relaxed structure.
Intensities are scaled so that the largest is 1000.

Largest 10 diffraction maxima, by intensity, 2θ from 5° to 70°:
2θ (°)  I/Imax
38.1  1000
68.8  233
26.6  220
54.9  115
69.0  115
26.8  108
47.1  101
62.0  93
55.2  57
62.3  46

```
4
Lattice="4.733 0.000 0.000 0.000 4.733 0.000 0.000 0.000 3.330" Properties=species:S:1:pos:R:3 pbc="T T T"
Gd 0.000 0.000 0.000
Pu 2.366 2.366 0.000
Co 0.000 2.366 1.665
Co 2.366 0.000 1.665
```